No. 1
Diffraction record for NaUVO7. The powder X-ray diffraction pattern is simulated, not measured: it uses a structure optimized by DFT (PBE+U) and Cu Kα, 1.54184 Å.

Structure:
```
NaUVO7
1.0
7.706 0.000 0.000
0.000 8.590 0.000
-4.305 0.000 9.720
Na U V O
4 4 4 28
Direct
0.000 0.239 0.000 Na
0.000 0.761 0.500 Na
0.974 0.258 0.645 Na
0.974 0.742 0.145 Na
0.491 0.230 0.671 U
0.491 0.770 0.171 U
0.511 0.270 0.312 U
0.511 0.730 0.812 U
0.411 0.398 0.929 V
0.411 0.602 0.429 V
0.596 0.094 0.055 V
0.596 0.906 0.555 V
0.119 0.102 0.851 O
0.119 0.898 0.351 O
0.177 0.377 0.884 O
0.177 0.623 0.384 O
0.234 0.212 0.592 O
0.234 0.788 0.092 O
0.254 0.252 0.217 O
0.254 0.748 0.717 O
0.460 0.459 0.781 O
0.460 0.541 0.281 O
0.470 0.406 0.496 O
0.470 0.594 0.996 O
0.471 0.190 0.881 O
0.471 0.810 0.381 O
0.513 0.100 0.484 O
0.513 0.900 0.984 O
0.547 0.308 0.104 O
0.547 0.692 0.604 O
0.550 0.040 0.207 O
0.550 0.960 0.707 O
0.754 0.249 0.755 O
0.754 0.751 0.255 O
0.767 0.293 0.409 O
0.767 0.707 0.909 O
0.824 0.088 0.091 O
0.824 0.912 0.591 O
0.879 0.456 0.098 O
0.879 0.544 0.598 O
```

Principal peaks in the range 10 to 80 degrees two-theta, low angle first:
2θ 12.56, intensity 100
2θ 20.68, intensity 24
2θ 21.03, intensity 11
2θ 24.27, intensity 19
2θ 25.28, intensity 21
2θ 27.24, intensity 43
2θ 27.72, intensity 9
2θ 29.46, intensity 17
2θ 30.77, intensity 19
2θ 32.88, intensity 11
2θ 42.11, intensity 11
2θ 43.10, intensity 9

=====

No. 2
Diffraction record for Ho2VPO8. The powder X-ray diffraction pattern is simulated, not measured: it uses a structure optimized by DFT (PBE+U) and Cu Kα, 1.54184 Å.

Structure:
```
Ho2VPO8
1.0
-3.542 3.542 3.089
3.542 -3.542 3.089
3.542 3.542 -3.089
Ho V P O
2 1 1 8
Direct
0.000 0.000 0.000 Ho
0.750 0.250 0.500 Ho
0.250 0.750 0.500 V
0.500 0.500 0.000 P
0.068 0.382 0.314 O
0.068 0.754 0.686 O
0.170 0.342 0.828 O
0.246 0.932 0.314 O
0.514 0.342 0.172 O
0.618 0.932 0.686 O
0.658 0.486 0.828 O
0.658 0.830 0.172 O
```

Principal peaks in the range 10 to 80 degrees two-theta, low angle first:
2θ 19.06, intensity 52
2θ 25.15, intensity 100
2θ 31.75, intensity 20
2θ 34.10, intensity 68
2θ 35.86, intensity 22
2θ 40.92, intensity 18
2θ 48.64, intensity 17
2θ 50.32, intensity 56
2θ 51.62, intensity 15
2θ 58.25, intensity 13
2θ 63.32, intensity 17
2θ 74.96, intensity 13

=====

No. 3
Diffraction record for VOF. The powder X-ray diffraction pattern is simulated, not measured: it uses a structure optimized by DFT (PBE+U) and Cu Kα, 1.54184 Å.

Structure:
```
VOF
1.0
4.712 0.000 0.000
0.000 4.720 0.000
-0.022 0.000 9.390
V O F
6 6 6
Direct
0.212 0.000 0.084 V
0.222 0.991 0.749 V
0.280 0.049 0.417 V
0.720 0.549 0.583 V
0.778 0.491 0.251 V
0.788 0.500 0.916 V
0.054 0.195 0.915 O
0.065 0.203 0.253 O
0.433 0.840 0.583 O
0.567 0.340 0.417 O
0.935 0.703 0.747 O
0.946 0.695 0.085 O
0.041 0.228 0.583 F
0.444 0.793 0.917 F
0.462 0.815 0.249 F
0.538 0.315 0.751 F
0.556 0.293 0.083 F
0.959 0.728 0.417 F
```

Principal peaks in the range 10 to 80 degrees two-theta, low angle first:
2θ 26.73, intensity 100
2θ 34.39, intensity 51
2θ 39.45, intensity 14
2θ 39.52, intensity 13
2θ 42.88, intensity 7
2θ 52.28, intensity 43
2θ 52.38, intensity 14
2θ 55.08, intensity 17
2θ 59.03, intensity 11
2θ 62.24, intensity 7
2θ 65.94, intensity 12
2θ 66.52, intensity 15

=====

No. 4
Diffraction record for Li2Mn3VO8. The powder X-ray diffraction pattern is simulated, not measured: it uses a structure optimized by DFT (PBE+U) and Cu Kα, 1.54184 Å.

Structure:
```
Li2Mn3VO8
1.0
3.010 -5.003 0.000
3.010 5.003 0.000
0.000 0.000 9.614
Li Mn V O
4 6 2 16
Direct
0.005 0.995 0.500 Li
0.330 0.670 0.902 Li
0.670 0.330 0.402 Li
0.995 0.005 0.000 Li
0.169 0.831 0.221 Mn
0.173 0.339 0.220 Mn
0.339 0.173 0.720 Mn
0.661 0.827 0.220 Mn
0.827 0.661 0.720 Mn
0.831 0.169 0.721 Mn
0.337 0.663 0.494 V
0.663 0.337 0.994 V
0.003 0.997 0.813 O
0.041 0.526 0.341 O
0.157 0.319 0.606 O
0.180 0.820 0.588 O
0.319 0.157 0.106 O
0.333 0.667 0.117 O
0.474 0.959 0.341 O
0.481 0.519 0.371 O
0.519 0.481 0.871 O
0.526 0.041 0.841 O
0.667 0.333 0.617 O
0.681 0.843 0.606 O
0.820 0.180 0.088 O
0.843 0.681 0.106 O
0.959 0.474 0.841 O
0.997 0.003 0.313 O
```

Principal peaks in the range 10 to 80 degrees two-theta, low angle first:
2θ 18.46, intensity 90
2θ 19.53, intensity 100
2θ 20.01, intensity 40
2θ 25.33, intensity 33
2θ 32.90, intensity 36
2θ 35.18, intensity 29
2θ 36.04, intensity 87
2θ 39.66, intensity 43
2θ 45.12, intensity 61
2θ 46.03, intensity 29
2θ 60.01, intensity 40
2θ 63.81, intensity 36

=====

No. 5
Diffraction record for Li3V2OF7. The powder X-ray diffraction pattern is simulated, not measured: it uses a structure optimized by DFT (PBE+U) and Cu Kα, 1.54184 Å.

Structure:
```
Li3V2OF7
1.0
5.037 -3.089 0.000
5.037 3.089 0.000
-3.287 0.000 4.939
Li V O F
3 2 1 7
Direct
0.000 0.000 0.000 Li
0.372 0.372 0.122 Li
0.605 0.605 0.865 Li
0.003 0.483 0.482 V
0.483 0.003 0.482 V
0.245 0.245 0.282 O
0.219 0.728 0.751 F
0.243 0.243 0.724 F
0.264 0.758 0.254 F
0.728 0.219 0.751 F
0.739 0.739 0.711 F
0.742 0.742 0.258 F
0.758 0.264 0.254 F
```

Principal peaks in the range 10 to 80 degrees two-theta, low angle first:
2θ 17.96, intensity 68
2θ 18.69, intensity 100
2θ 21.19, intensity 39
2θ 28.90, intensity 15
2θ 30.15, intensity 21
2θ 34.24, intensity 25
2θ 34.64, intensity 28
2θ 42.26, intensity 75
2θ 43.15, intensity 35
2θ 56.76, intensity 14
2θ 60.93, intensity 24
2θ 63.02, intensity 22

=====

No. 6
Diffraction record for AlV2O4. The powder X-ray diffraction pattern is simulated, not measured: it uses a structure optimized by DFT (PBE+U) and Cu Kα, 1.54184 Å.

Structure:
```
AlV2O4
1.0
5.205 -2.946 0.000
5.205 2.946 0.000
-3.705 0.000 9.730
Al V O
4 8 16
Direct
0.000 0.000 0.000 Al
0.128 0.128 0.379 Al
0.506 0.506 0.507 Al
0.635 0.635 0.886 Al
0.063 0.063 0.691 V
0.077 0.556 0.693 V
0.080 0.557 0.192 V
0.317 0.317 0.942 V
0.556 0.077 0.693 V
0.557 0.080 0.192 V
0.573 0.573 0.195 V
0.817 0.817 0.442 V
0.186 0.186 0.564 O
0.187 0.187 0.059 O
0.191 0.689 0.063 O
0.194 0.682 0.566 O
0.440 0.953 0.319 O
0.446 0.945 0.823 O
0.448 0.448 0.826 O
0.449 0.449 0.321 O
0.682 0.194 0.566 O
0.689 0.191 0.063 O
0.693 0.693 0.570 O
0.698 0.698 0.071 O
0.937 0.937 0.815 O
0.941 0.941 0.315 O
0.945 0.446 0.823 O
0.953 0.440 0.319 O
```

Principal peaks in the range 10 to 80 degrees two-theta, low angle first:
2θ 18.25, intensity 55
2θ 29.89, intensity 12
2θ 34.89, intensity 51
2θ 35.60, intensity 100
2θ 36.99, intensity 11
2θ 42.17, intensity 29
2θ 43.37, intensity 52
2θ 55.84, intensity 12
2θ 57.32, intensity 21
2θ 62.09, intensity 59
2θ 62.92, intensity 14
2θ 63.11, intensity 14

=====

No. 7
Diffraction record for CaVO2. The powder X-ray diffraction pattern is simulated, not measured: it uses a structure optimized by DFT (PBE+U) and Cu Kα, 1.54184 Å.

Structure:
```
CaVO2
1.0
8.488 -1.569 0.000
8.488 1.569 0.000
-7.883 0.000 8.659
Ca V O
4 4 8
Direct
0.069 0.069 0.419 Ca
0.306 0.306 0.206 Ca
0.694 0.694 0.794 Ca
0.931 0.931 0.581 Ca
0.174 0.174 0.281 V
0.431 0.431 0.085 V
0.569 0.569 0.915 V
0.826 0.826 0.719 V
0.110 0.110 0.833 O
0.117 0.117 0.059 O
0.219 0.219 0.670 O
0.415 0.415 0.714 O
0.585 0.585 0.286 O
0.781 0.781 0.330 O
0.883 0.883 0.941 O
0.890 0.890 0.167 O
```

Principal peaks in the range 10 to 80 degrees two-theta, low angle first:
2θ 20.51, intensity 21
2θ 20.98, intensity 22
2θ 30.54, intensity 34
2θ 32.06, intensity 63
2θ 32.71, intensity 100
2θ 36.75, intensity 16
2θ 39.74, intensity 77
2θ 48.52, intensity 24
2θ 50.51, intensity 21
2θ 53.35, intensity 32
2θ 57.57, intensity 22
2θ 58.85, intensity 24

=====

No. 8
Diffraction record for ZnBiMoO5. The powder X-ray diffraction pattern is simulated, not measured: it uses a structure optimized by DFT (PBE+U) and Cu Kα, 1.54184 Å.

Structure:
```
ZnBiMoO5
1.0
5.391 0.000 0.000
0.000 11.929 0.000
-3.355 0.000 7.789
Zn Bi Mo O
4 4 4 20
Direct
0.057 0.084 0.163 Zn
0.057 0.416 0.663 Zn
0.943 0.584 0.337 Zn
0.943 0.916 0.837 Zn
0.438 0.103 0.840 Bi
0.438 0.397 0.340 Bi
0.562 0.603 0.660 Bi
0.562 0.897 0.160 Bi
0.309 0.636 0.031 Mo
0.309 0.864 0.531 Mo
0.691 0.136 0.469 Mo
0.691 0.364 0.969 Mo
0.173 0.569 0.173 O
0.173 0.931 0.673 O
0.205 0.709 0.486 O
0.205 0.791 0.986 O
0.258 0.025 0.014 O
0.258 0.475 0.514 O
0.296 0.569 0.831 O
0.296 0.931 0.331 O
0.337 0.185 0.334 O
0.337 0.315 0.834 O
0.663 0.685 0.166 O
0.663 0.815 0.666 O
0.704 0.069 0.669 O
0.704 0.431 0.169 O
0.742 0.525 0.486 O
0.742 0.975 0.986 O
0.795 0.209 0.014 O
0.795 0.291 0.514 O
0.827 0.069 0.327 O
0.827 0.431 0.827 O
```

Principal peaks in the range 10 to 80 degrees two-theta, low angle first:
2θ 13.58, intensity 16
2θ 14.85, intensity 16
2θ 17.92, intensity 33
2θ 24.01, intensity 100
2θ 29.06, intensity 96
2θ 29.96, intensity 31
2θ 32.15, intensity 56
2θ 34.22, intensity 31
2θ 35.38, intensity 25
2θ 46.56, intensity 21
2θ 51.21, intensity 21
2θ 52.06, intensity 17

=====

No. 9
Diffraction record for Zn2IrWO6. The powder X-ray diffraction pattern is simulated, not measured: it uses a structure optimized by DFT (PBE+U) and Cu Kα, 1.54184 Å.

Structure:
```
Zn2IrWO6
1.0
5.316 0.000 0.000
0.000 5.306 0.000
-5.163 0.000 7.751
Zn Ir W O
4 2 2 12
Direct
0.232 0.021 0.248 Zn
0.232 0.479 0.748 Zn
0.768 0.521 0.252 Zn
0.768 0.979 0.752 Zn
0.000 0.000 0.500 Ir
0.000 0.500 0.000 Ir
0.500 0.000 0.000 W
0.500 0.500 0.500 W
0.138 0.101 0.753 O
0.138 0.399 0.253 O
0.235 0.668 0.557 O
0.235 0.832 0.057 O
0.405 0.177 0.574 O
0.405 0.323 0.074 O
0.595 0.677 0.926 O
0.595 0.823 0.426 O
0.765 0.168 0.943 O
0.765 0.332 0.443 O
0.862 0.601 0.747 O
0.862 0.899 0.247 O
```

Principal peaks in the range 10 to 80 degrees two-theta, low angle first:
2θ 22.95, intensity 31
2θ 23.70, intensity 54
2θ 32.98, intensity 100
2θ 33.46, intensity 98
2θ 33.76, intensity 94
2θ 46.89, intensity 24
2θ 48.49, intensity 41
2θ 59.03, intensity 22
2θ 59.57, intensity 33
2θ 59.93, intensity 22
2θ 60.23, intensity 21
2θ 60.46, intensity 22